[1]
Structure and simulated XRD peak list of Pr3Pt4 (a DFT-relaxed cell (GGA-PBE, the Materials Project); Cu Kα, 1.54184 Å).

Main lines, sorted by position (2θ from 15° to 90°):
- 2θ 31.0, d = 2.888 Å, intensity 26.8, hkl 4 -3 1
- 2θ 34.2, d = 2.625 Å, intensity 14.9, hkl 2 0 2
- 2θ 34.3, d = 2.615 Å, intensity 100.0, hkl 1 4 0
- 2θ 36.1, d = 2.487 Å, intensity 21.7, hkl 3 2 1
- 2θ 36.6, d = 2.454 Å, intensity 73.3, hkl 3 -2 2
- 2θ 41.2, d = 2.194 Å, intensity 23.0, hkl 3 1 2
- 2θ 48.8, d = 1.866 Å, intensity 12.4, hkl 7 -3 1
- 2θ 51.0, d = 1.789 Å, intensity 15.3, hkl 4 2 2
- 2θ 62.6, d = 1.484 Å, intensity 12.0, hkl 9 -4 1
- 2θ 62.9, d = 1.477 Å, intensity 11.8, hkl 0 7 2
- 2θ 64.2, d = 1.450 Å, intensity 15.5, hkl 0 8 1
- 2θ 70.4, d = 1.337 Å, intensity 9.6, hkl 1 3 4

Structural model:
Cell: 13.8348 13.8348 5.8408 Å, 90.00 90.00 120.00°
Space group R-3 (No. 148, hexagonal axes)
One atom of each set of equivalent atoms:
1 Pr 0.0423 0.2096 0.2388 [18 per cell]
2 Pt 0.0000 0.0000 0.0000 [3 per cell]
3 Pt 0.0000 0.0000 0.5000 [3 per cell]
4 Pt 0.0558 0.2757 0.7228 [18 per cell]


[2]
Structure and simulated XRD peak list of CaMg6AlO8 (a DFT-relaxed cell (GGA-PBE, the Materials Project); Cu Kα, 1.54184 Å).

Main lines, sorted by position (2θ from 15° to 90°):
- 2θ 30.5, d = 2.931 Å, intensity 1.6, hkl 1 1 1
- 2θ 30.8, d = 2.899 Å, intensity 1.6, hkl 0 0 3
- 2θ 35.5, d = 2.531 Å, intensity 20.3, hkl 1 1 2
- 2θ 37.1, d = 2.421 Å, intensity 1.4, hkl 1 0 3
- 2θ 41.0, d = 2.202 Å, intensity 100.0, hkl 2 0 0
- 2θ 41.5, d = 2.174 Å, intensity 46.8, hkl 0 0 4
- 2θ 59.4, d = 1.557 Å, intensity 28.6, hkl 2 2 0
- 2θ 59.8, d = 1.547 Å, intensity 54.5, hkl 2 0 4
- 2θ 71.1, d = 1.326 Å, intensity 8.5, hkl 3 1 2
- 2θ 71.8, d = 1.314 Å, intensity 4.1, hkl 1 1 6
- 2θ 75.0, d = 1.266 Å, intensity 24.9, hkl 2 2 4
- 2θ 88.9, d = 1.101 Å, intensity 7.7, hkl 4 0 0

Structural model:
Cell: 4.4030 4.4030 8.6967 Å, 90.00 90.00 90.00°
Space group P4/mmm (No. 123)
One atom of each set of equivalent atoms:
1 Ca 0.0000 0.0000 0.0000 [1 per cell]
2 Mg 0.0000 0.0000 0.5000 [1 per cell]
3 Mg 0.0000 0.5000 0.2581 [4 per cell]
4 Mg 0.5000 0.5000 0.5000 [1 per cell]
5 Al 0.5000 0.5000 0.0000 [1 per cell]
6 O 0.0000 0.0000 0.2646 [2 per cell]
7 O 0.0000 0.5000 0.0000 [2 per cell]
8 O 0.0000 0.5000 0.5000 [2 per cell]
9 O 0.5000 0.5000 0.2483 [2 per cell]


[3]
Structure and simulated XRD peak list of CeGaPt (a DFT-relaxed cell (GGA-PBE, the Materials Project); Cu Kα, 1.54184 Å).

Main lines, sorted by position (2θ from 15° to 90°):
- 2θ 25.9, d = 3.444 Å, intensity 21.4, hkl 1 0 2
- 2θ 26.3, d = 3.391 Å, intensity 32.6, hkl 1 1 1
- 2θ 32.9, d = 2.719 Å, intensity 34.5, hkl 1 1 2
- 2θ 34.0, d = 2.635 Å, intensity 32.0, hkl 2 0 2
- 2θ 34.4, d = 2.611 Å, intensity 100.0, hkl 2 1 1
- 2θ 39.9, d = 2.260 Å, intensity 78.9, hkl 0 1 3
- 2θ 40.7, d = 2.215 Å, intensity 40.6, hkl 0 2 0
- 2θ 44.7, d = 2.026 Å, intensity 11.8, hkl 3 0 2
- 2θ 47.7, d = 1.905 Å, intensity 11.7, hkl 2 1 3
- 2θ 54.1, d = 1.695 Å, intensity 17.1, hkl 2 2 2
- 2θ 65.2, d = 1.432 Å, intensity 16.1, hkl 3 1 4
- 2θ 70.1, d = 1.343 Å, intensity 12.6, hkl 2 3 1

Structural model:
Cell: 7.0865 4.4292 7.8817 Å, 90.00 90.00 90.00°
Space group Pnma (No. 62)
One atom of each set of equivalent atoms:
1 Ce 0.0160 0.2500 0.2002 [4 per cell]
2 Ga 0.1715 0.2500 0.5768 [4 per cell]
3 Pt 0.2234 0.7500 0.4040 [4 per cell]


[4]
Structure and simulated XRD peak list of Rb2SnTe5 (a DFT-relaxed cell (GGA-PBE, the Materials Project); Cu Kα, 1.54184 Å).

Main lines, sorted by position (2θ from 15° to 90°):
- 2θ 23.0, d = 3.870 Å, intensity 49.4, hkl 2 1 1
- 2θ 28.1, d = 3.175 Å, intensity 43.6, hkl 2 1 3
- 2θ 28.3, d = 3.157 Å, intensity 41.9, hkl 2 2 0
- 2θ 30.3, d = 2.948 Å, intensity 100.0, hkl 2 0 4
- 2θ 39.3, d = 2.292 Å, intensity 18.2, hkl 3 1 4
- 2θ 42.1, d = 2.146 Å, intensity 12.7, hkl 4 1 1
- 2θ 45.3, d = 2.001 Å, intensity 15.2, hkl 4 1 3
- 2θ 45.4, d = 1.997 Å, intensity 18.2, hkl 4 2 0
- 2θ 46.4, d = 1.955 Å, intensity 14.0, hkl 2 1 7
- 2θ 46.8, d = 1.941 Å, intensity 21.5, hkl 4 0 4
- 2θ 51.3, d = 1.781 Å, intensity 13.6, hkl 4 2 4
- 2θ 70.9, d = 1.329 Å, intensity 16.9, hkl 6 2 4

Structural model:
Cell: 8.9300 8.9300 15.6986 Å, 90.00 90.00 90.00°
Space group I4cm (No. 108)
One atom of each set of equivalent atoms:
1 Rb 0.0000 0.0000 0.0000 [4 per cell]
2 Rb 0.0000 0.0000 0.2496 [4 per cell]
3 Sn 0.0000 0.5000 0.0040 [4 per cell]
4 Te 0.0000 0.5000 0.2540 [4 per cell]
5 Te 0.1731 0.3269 0.1203 [8 per cell]
6 Te 0.1731 0.3269 0.3876 [8 per cell]


[5]
Structure and simulated XRD peak list of NdSnAu (a DFT-relaxed cell (GGA-PBE, the Materials Project); Cu Kα, 1.54184 Å).

Main lines, sorted by position (2θ from 15° to 90°):
- 2θ 24.4, d = 3.651 Å, intensity 26.2, hkl 1 0 1
- 2θ 31.7, d = 2.820 Å, intensity 100.0, hkl 1 0 2
- 2θ 37.5, d = 2.396 Å, intensity 91.9, hkl 1 1 0
- 2θ 41.4, d = 2.180 Å, intensity 30.4, hkl 1 0 3
- 2θ 44.6, d = 2.033 Å, intensity 12.2, hkl 1 1 2
- 2θ 50.0, d = 1.826 Å, intensity 28.4, hkl 2 0 2
- 2θ 61.9, d = 1.499 Å, intensity 12.9, hkl 1 1 4
- 2θ 64.1, d = 1.452 Å, intensity 27.0, hkl 2 1 2
- 2θ 64.7, d = 1.441 Å, intensity 13.6, hkl 1 0 5
- 2θ 67.7, d = 1.383 Å, intensity 16.7, hkl 3 0 0
- 2θ 70.4, d = 1.338 Å, intensity 13.1, hkl 2 1 3
- 2θ 89.2, d = 1.098 Å, intensity 12.4, hkl 2 1 5

Structural model:
Cell: 4.7913 4.7913 7.6862 Å, 90.00 90.00 120.00°
Space group P6_3mc (No. 186)
One atom of each set of equivalent atoms:
1 Nd 0.0000 0.0000 0.0000 [2 per cell]
2 Sn 0.3333 0.6667 0.2247 [2 per cell]
3 Au 0.3333 0.6667 0.8168 [2 per cell]


[6]
Structure and simulated XRD peak list of CeSe2 (a DFT-relaxed cell (GGA-PBE, the Materials Project); Cu Kα, 1.54184 Å).

Main lines, sorted by position (2θ from 15° to 90°):
- 2θ 26.7, d = 3.338 Å, intensity 38.7, hkl 1 0 3
- 2θ 28.3, d = 3.157 Å, intensity 84.1, hkl 1 0 4
- 2θ 30.2, d = 2.962 Å, intensity 34.8, hkl 1 0 5
- 2θ 37.4, d = 2.404 Å, intensity 100.0, hkl 1 0 8
- 2θ 43.2, d = 2.093 Å, intensity 62.1, hkl 1 1 0
- 2θ 45.6, d = 1.990 Å, intensity 24.4, hkl 1 1 4
- 2θ 49.4, d = 1.844 Å, intensity 19.6, hkl 1 0 12
- 2θ 52.5, d = 1.744 Å, intensity 15.0, hkl 2 0 4
- 2θ 58.5, d = 1.579 Å, intensity 27.0, hkl 2 0 8
- 2θ 70.2, d = 1.340 Å, intensity 12.5, hkl 2 1 4
- 2θ 74.5, d = 1.274 Å, intensity 23.6, hkl 1 1 16
- 2θ 75.4, d = 1.260 Å, intensity 25.4, hkl 2 1 8

Structural model:
Cell: 4.1861 4.1861 25.6920 Å, 90.00 90.00 120.00°
Space group P6_3/mmc (No. 194)
One atom of each set of equivalent atoms:
1 Ce 0.0000 0.0000 0.0000 [2 per cell]
2 Ce 0.0000 0.0000 0.2500 [2 per cell]
3 Se 0.3333 0.6667 0.0592 [4 per cell]
4 Se 0.3333 0.6667 0.6858 [4 per cell]